Structure and simulated PXRD pattern of BaLiNiGe (a cell relaxed with GGA-PBE; copper Kα).
Lines closer than 0.1° are merged.

Structural model:
a b c (Å): 6.046 4.269 7.137
angles (deg): 90.00 91.48 90.00
Space group P2_1/m (No. 11)
Inequivalent atoms, fractional coordinates:
Ba1 0.115 0.250 0.277
Li1 0.394 0.750 0.933
Ni1 0.411 0.750 0.566
Ge1 0.381 0.250 0.724

The 10 most intense peaks (2θ = 10–90°), in order of rising 2θ:
d [Å]	2θ (°)	Rel. int.
7.135	12.41	100
3.567	24.96	53
3.487	25.55	47
3.151	28.32	53
3.114	28.67	71
2.809	31.86	52
2.757	32.47	83
2.475	36.29	53
2.134	42.35	46
1.978	45.87	68

=====

Structure and simulated PXRD pattern of Nd2CuAgSb4 (a cell relaxed with GGA-PBE; copper Kα).
Lines closer than 0.1° are merged.

Structural model:
a b c (Å): 4.399 4.399 10.423
angles (deg): 90.00 90.00 90.00
Space group P-4m2 (No. 115)
Inequivalent atoms, fractional coordinates:
Nd1 0.000 0.500 0.243
Cu1 0.500 0.500 0.500
Ag1 0.000 0.000 0.500
Sb1 0.000 0.000 0.000
Sb2 0.000 0.500 0.666
Sb3 0.500 0.500 0.000

The 10 most intense peaks (2θ = 10–90°), in order of rising 2θ:
d [Å]	2θ (°)	Rel. int.
3.361	26.52	15
2.726	32.85	13
2.671	33.55	100
2.606	34.42	12
2.199	41.04	38
1.884	48.32	13
1.681	54.61	12
1.555	59.44	12
1.431	65.21	10
1.344	70.01	24

=====

Structure and simulated PXRD pattern of ZnHg3S2Cl4 (a cell relaxed with GGA-PBE; copper Kα).
Lines closer than 0.1° are merged.

Structural model:
a b c (Å): 7.399 11.540 7.423
angles (deg): 90.00 119.32 90.00
Space group P2_1 (No. 4)
Inequivalent atoms, fractional coordinates:
Zn1 0.017 0.000 0.495
Hg1 0.016 0.201 0.104
Hg2 0.431 0.269 0.970
Hg3 0.474 0.092 0.493
S1 0.171 0.176 0.500
S2 0.306 0.107 0.079
Cl1 0.184 0.493 0.337
Cl2 0.224 0.469 0.854
Cl3 0.266 0.860 0.623
Cl4 0.304 0.804 0.154

The 10 most intense peaks (2θ = 10–90°), in order of rising 2θ:
d [Å]	2θ (°)	Rel. int.
5.770	15.36	37
4.307	20.62	100
4.284	20.73	51
3.232	27.60	50
3.198	27.90	21
3.115	28.66	50
3.082	28.97	22
2.818	31.75	26
2.633	34.05	56
2.236	40.34	23

=====

Structure and simulated PXRD pattern of Nb2CuC (a cell relaxed with GGA-PBE; copper Kα).
Lines closer than 0.1° are merged.

Structural model:
a b c (Å): 9.451 5.451 13.648
angles (deg): 90.00 103.34 90.00
Space group C2/c (No. 15)
Inequivalent atoms, fractional coordinates:
Nb1 0.052 0.083 0.407
Nb2 0.114 0.416 0.591
Nb3 0.220 0.417 0.909
Cu1 0.000 0.432 0.250
Cu2 0.173 0.089 0.750
C1 0.083 0.249 0.000
C2 0.250 0.250 0.500

The 10 most intense peaks (2θ = 10–90°), in order of rising 2θ:
d [Å]	2θ (°)	Rel. int.
2.727	32.84	23
2.671	33.55	3
2.322	38.78	100
2.213	40.77	17
1.719	53.31	14
1.574	58.63	20
1.303	72.54	15
1.298	72.89	13
1.283	73.87	16
1.161	83.22	4

=====

Structure and simulated PXRD pattern of Sn5Mo (a cell relaxed with GGA-PBE; copper Kα).
Lines closer than 0.1° are merged.

Structural model:
a b c (Å): 5.5982 5.5982 10.4635
angles (deg): 90.00 90.00 120.00
Space group P6_322 (No. 182)
Inequivalent atoms, fractional coordinates:
Sn1 0.0000 0.0000 0.2500
Sn2 0.0000 0.3479 0.0000
Sn3 0.3333 0.6667 0.2500
Mo1 0.3333 0.6667 0.7500

The 10 most intense peaks (2θ = 10–90°), in order of rising 2θ:
d [Å]	2θ (°)	Rel. int.
2.704	33.13	46
2.616	34.28	36
2.468	36.40	100
2.183	41.36	25
1.676	54.77	11
1.616	56.98	25
1.480	62.78	21
1.375	68.21	30
1.352	69.53	15
1.092	89.87	9

=====

Structure and simulated PXRD pattern of TlGeAu3O4 (a cell relaxed with GGA-PBE; copper Kα).
Lines closer than 0.1° are merged.

Structural model:
a b c (Å): 5.338 5.338 5.338
angles (deg): 90.00 90.00 90.00
Space group P-43m (No. 215)
Inequivalent atoms, fractional coordinates:
Tl1 0.000 0.000 0.000
Ge1 0.500 0.500 0.500
Au1 0.000 0.500 0.500
O1 0.237 0.237 0.237

The 10 most intense peaks (2θ = 10–90°), in order of rising 2θ:
d [Å]	2θ (°)	Rel. int.
5.338	16.61	3
3.774	23.57	3
3.082	28.97	100
2.669	33.58	64
1.887	48.22	62
1.609	57.24	46
1.541	60.04	17
1.334	70.58	10
1.225	78.03	19
1.194	80.47	23

=====

Structure and simulated PXRD pattern of Ba14In4Cu2N7 (a cell relaxed with GGA-PBE; copper Kα).
Lines closer than 0.1° are merged.

Structural model:
a b c (Å): 9.353 8.123 21.764
angles (deg): 90.00 102.33 90.00
Space group P2/m (No. 10)
Inequivalent atoms, fractional coordinates:
Ba1 0.000 0.000 0.000
Ba2 0.000 0.249 0.500
Ba3 0.000 0.500 0.000
Ba4 0.075 0.245 0.691
Ba5 0.114 0.500 0.195
Ba6 0.247 0.500 0.412
Ba7 0.248 0.249 0.892
Ba8 0.249 0.000 0.417
Ba9 0.330 0.000 0.593
Ba10 0.334 0.500 0.592
Ba11 0.342 0.231 0.088
Ba12 0.418 0.500 0.788
In1 0.132 0.000 0.192
In2 0.365 0.196 0.282
In3 0.426 0.000 0.779
Cu1 0.500 0.000 0.000
Cu2 0.500 0.257 0.500
Cu3 0.500 0.500 0.000
N1 0.047 0.000 0.602
N2 0.054 0.500 0.614
N3 0.147 0.500 0.802
N4 0.295 0.000 0.994
N5 0.301 0.258 0.503
N6 0.482 0.500 0.912

The 10 most intense peaks (2θ = 10–90°), in order of rising 2θ:
d [Å]	2θ (°)	Rel. int.
3.146	28.37	90
3.067	29.12	93
2.937	30.43	100
2.338	38.50	15
2.126	42.52	14
2.082	43.46	14
2.031	44.62	17
1.829	49.84	23
1.747	52.36	23
1.706	53.72	25

=====

Structure and simulated PXRD pattern of TcC5ClO5 (a cell relaxed with GGA-PBE; copper Kα).
Lines closer than 0.1° are merged.

Structural model:
a b c (Å): 11.317 11.410 5.813
angles (deg): 90.00 90.00 90.00
Space group Pnma (No. 62)
Inequivalent atoms, fractional coordinates:
Tc1 0.125 0.250 0.053
C1 0.025 0.250 0.788
C2 0.026 0.124 0.196
C3 0.227 0.125 0.914
Cl1 0.244 0.750 0.898
O1 0.029 0.548 0.731
O2 0.037 0.750 0.372
O3 0.216 0.552 0.335

The 10 most intense peaks (2θ = 10–90°), in order of rising 2θ:
d [Å]	2θ (°)	Rel. int.
5.705	15.53	88
5.173	17.14	62
5.069	17.49	100
4.710	18.84	71
3.831	23.22	47
3.159	28.25	55
3.049	29.29	51
2.772	32.30	90
2.589	34.65	34
2.433	36.95	48

=====

Structure and simulated PXRD pattern of K3Gd3P4S16 (a cell relaxed with GGA-PBE; copper Kα).
Lines closer than 0.1° are merged.

Structural model:
a b c (Å): 16.090 11.688 14.682
angles (deg): 90.00 91.08 90.00
Space group C2/c (No. 15)
Inequivalent atoms, fractional coordinates:
K1 0.000 0.000 0.000
K2 0.209 0.180 0.336
Gd1 0.000 0.251 0.750
Gd2 0.130 0.383 0.011
P1 0.080 0.318 0.524
P2 0.185 0.148 0.861
S1 0.005 0.264 0.418
S2 0.019 0.437 0.604
S3 0.091 0.051 0.805
S4 0.110 0.185 0.609
S5 0.157 0.317 0.829
S6 0.184 0.396 0.475
S7 0.187 0.134 0.001
S8 0.201 0.396 0.186

The 10 most intense peaks (2θ = 10–90°), in order of rising 2θ:
d [Å]	2θ (°)	Rel. int.
7.992	11.07	100
7.340	12.06	27
5.833	15.19	49
4.326	20.53	14
3.666	24.28	28
3.499	25.45	20
3.002	29.76	14
2.746	32.60	15
2.715	32.99	14
2.663	33.65	16

=====

Structure and simulated PXRD pattern of TcAgO3 (a cell relaxed with GGA-PBE; copper Kα).
Lines closer than 0.1° are merged.

Structural model:
a b c (Å): 5.4274 5.4274 13.3472
angles (deg): 90.00 90.00 120.00
Space group R-3c (No. 167, hexagonal axes)
Inequivalent atoms, fractional coordinates:
Tc1 0.0000 0.0000 0.0000
Ag1 0.0000 0.0000 0.2500
O1 0.0000 0.4380 0.2500

The 10 most intense peaks (2θ = 10–90°), in order of rising 2θ:
d [Å]	2θ (°)	Rel. int.
2.717	32.96	100
2.217	40.70	2
1.921	47.31	29
1.572	58.72	9
1.568	58.91	30
1.360	69.04	8
1.357	69.25	7
1.216	78.68	8
1.214	78.83	8
1.108	88.14	4